[1]
Structure and simulated X-ray powder pattern of Be2BS (a cell relaxed with PBE; Cu Ka).
No peak broadening, texture or thermal motion is included.

Principal peaks in the range 10 to 90 degrees two-theta, by angle:
2θ (°)  I/Imax  h k l
28.6  13  0 1 0
29.5  15  1 -1 0
30.2  34  1 0 -1
31.3  100  0 0 3
31.8  39  1 -1 1
32.7  15  1 0 1
34.1  37  0 1 -2
53.1  14  -2 1 1
53.9  12  0 1 4
59.3  14  0 2 -1

Structural model:
Lattice parameters (Å, degrees): 3.4662 3.5733 8.6385 91.48 95.65 118.85
Space group P1 (No. 1)
One atom of each set of equivalent atoms:
Be (0.0000, 0.0000, 0.0000)
Be (0.0154, 0.2224, 0.5384)
Be (0.4561, 0.9677, 0.8618)
Be (0.5688, 0.5047, 0.2027)
B (0.4886, 0.4867, 0.9599)
B (0.9827, 0.4896, 0.9452)
S (0.3730, 0.9009, 0.6134)
S (0.9239, 0.1801, 0.2883)

---

[2]
Structure and simulated X-ray powder pattern of CaB12 (a cell relaxed with PBE; Cu Ka).
No peak broadening, texture or thermal motion is included.

Principal peaks in the range 10 to 90 degrees two-theta, by angle:
2θ (°)  I/Imax  h k l
20.5  10  1 1 1
23.7  43  2 0 0
33.7  6  2 2 0
39.8  100  3 1 1
41.6  30  2 2 2
48.4  6  4 0 0
53.1  16  3 3 1
60.3  25  4 2 2
74.7  25  5 3 1
75.9  24  6 0 0

Structural model:
Lattice parameters (Å, degrees): 7.5177 7.5177 7.5177 90.00 90.00 90.00
Space group Fm-3m (No. 225)
One atom of each set of equivalent atoms:
Ca (0.0000, 0.0000, 0.0000)
B (0.0000, 0.1682, 0.3318)

---

[3]
Structure and simulated X-ray powder pattern of RbBa2TeS4 (a cell relaxed with PBE; Cu Ka).
No peak broadening, texture or thermal motion is included.

Principal peaks in the range 10 to 90 degrees two-theta, by angle:
2θ (°)  I/Imax  h k l
23.5  91  2 2 0
25.0  72  2 2 -2
26.2  100  0 0 2
28.9  76  4 0 -2
29.1  76  0 4 0
37.5  33  4 0 0
39.6  62  0 4 2
41.5  53  4 4 -2
48.2  30  4 4 0
51.4  29  4 4 -4

Structural model:
Lattice parameters (Å, degrees): 12.3989 12.2604 8.7728 90.00 129.28 90.00
Space group C2/c (No. 15)
One atom of each set of equivalent atoms:
Rb (0.0000, 0.0000, 0.0000)
Ba (0.0000, 0.5000, 0.0000)
Ba (0.2500, 0.2500, 0.0000)
Te (0.2500, 0.2500, 0.5000)
S (0.0520, 0.2524, 0.5427)
S (0.2340, 0.4747, 0.4722)

---

[4]
Structure and simulated X-ray powder pattern of La6SbSe5 (a cell relaxed with PBE; Cu Ka).
No peak broadening, texture or thermal motion is included.

Principal peaks in the range 10 to 90 degrees two-theta, by angle:
2θ (°)  I/Imax  h k l
25.0  9  1 3 -1
28.9  100  1 3 1
41.3  75  0 6 0
51.2  27  4 0 0
59.9  12  4 0 -4
67.8  34  5 3 -3
75.3  14  4 6 -4
75.4  10  6 0 -2
89.7  4  2 6 -6
89.8  4  6 6 -2

Structural model:
Lattice parameters (Å, degrees): 7.5639 13.1040 7.5755 90.00 109.48 90.00
Space group C2/m (No. 12)
One atom of each set of equivalent atoms:
La (0.2433, 0.0000, 0.2543)
La (0.2438, 0.1705, 0.7430)
Sb (0.0000, 0.5000, 0.0000)
Se (0.0000, 0.0000, 0.5000)
Se (0.0000, 0.1674, 0.0000)
Se (0.0000, 0.3373, 0.5000)

---

[5]
Structure and simulated X-ray powder pattern of Nd5YSc3 (a cell relaxed with PBE; Cu Ka).
No peak broadening, texture or thermal motion is included.

Principal peaks in the range 10 to 90 degrees two-theta, by angle:
2θ (°)  I/Imax  h k l
22.5  100  2 2 0
27.2  23  0 0 3
31.3  49  0 4 0
31.5  39  2 2 -3
31.8  25  1 1 3
31.9  24  3 1 -3
32.9  33  4 0 0
39.0  35  3 3 -3
42.0  16  0 4 3
46.0  25  4 4 0

Structural model:
Lattice parameters (Å, degrees): 11.4152 11.4465 10.2678 90.00 107.22 90.00
Space group C2/m (No. 12)
One atom of each set of equivalent atoms:
Nd (0.0000, 0.2461, 0.0000)
Nd (0.0332, 0.2426, 0.3465)
Nd (0.2389, 0.5000, 0.5809)
Nd (0.2490, 0.5000, 0.9154)
Y (0.2474, 0.0000, 0.7469)
Sc (0.0000, 0.0000, 0.5000)
Sc (0.0000, 0.5000, 0.0000)
Sc (0.0023, 0.0000, 0.1661)
Sc (0.0018, 0.5000, 0.6728)

---

[6]
Structure and simulated X-ray powder pattern of Rb2Na5Pb2 (a cell relaxed with PBE; Cu Ka).
No peak broadening, texture or thermal motion is included.

Principal peaks in the range 10 to 90 degrees two-theta, by angle:
2θ (°)  I/Imax  h k l
10.9  100  1 1 0
16.9  98  2 1 1
21.9  59  2 2 0
22.6  80  4 1 1
27.5  69  4 0 2
29.4  57  0 2 2
29.8  41  6 1 1
33.8  46  0 1 3
34.7  34  8 0 0
36.8  46  4 3 1

Structural model:
Lattice parameters (Å, degrees): 20.6558 8.8278 8.3510 90.00 90.00 90.00
Space group Ima2 (No. 46)
One atom of each set of equivalent atoms:
Rb (0.1213, 0.0363, 0.0000)
Na (0.0149, 0.7020, 0.8332)
Na (0.1516, 0.0459, 0.5420)
Na (0.2500, 0.6842, 0.7733)
Pb (0.0000, 0.0000, 0.6367)
Pb (0.2500, 0.2022, 0.2759)